[1]
# ZnRh5S8
Calculated powder diffraction line list, Cu Ka. Input: the PBE geometry in Alexandria.

Structural model:
```
ZnRh5S8
1.0
0.000 4.973 4.973
4.973 0.000 4.973
4.973 4.973 0.000
Zn Rh S
1 5 8
Cartesian
0.000 0.000 0.000
6.209 3.736 3.736
2.486 2.486 2.486
3.736 6.209 3.736
3.736 3.736 6.209
6.209 6.209 6.209
3.821 3.821 3.821
6.124 6.124 3.821
6.124 3.821 6.124
8.586 6.332 6.332
3.821 6.124 6.124
6.332 8.586 6.332
6.332 6.332 8.586
8.586 8.586 8.586
```

Top 12 peaks for 2θ = 10–80°, by angle:
2θ (°)	d/Å	Rel. int.
15.4	5.742	22
25.3	3.516	23
29.8	2.999	100
31.2	2.871	7
36.1	2.486	34
44.6	2.030	9
47.5	1.914	44
52.0	1.758	65
61.1	1.517	13
65.0	1.435	7
73.1	1.295	20
76.7	1.243	10

---

[2]
# Sb5Rh3
Calculated powder diffraction line list, Cu Ka. Input: the PBE geometry in Alexandria.

Structural model:
```
Sb5Rh3
1.0
3.700 -5.388 0.000
3.700 5.388 0.000
0.000 0.000 4.360
Sb Rh
5 3
Cartesian
0.000 0.000 0.000
1.850 2.694 0.000
2.085 0.000 2.180
1.850 -2.694 0.000
5.315 0.000 2.180
3.700 2.068 2.180
3.700 0.000 0.000
3.700 -2.068 2.180
```

Top 12 peaks for 2θ = 10–80°, by angle:
2θ (°)	d/Å	Rel. int.
14.5	6.100	8
25.1	3.547	7
33.3	2.694	23
35.9	2.499	100
41.4	2.180	22
49.3	1.850	10
54.1	1.695	11
60.7	1.525	6
61.2	1.515	9
66.3	1.411	8
72.0	1.312	13
76.2	1.250	7

---

[3]
# Sb3Rh5
Calculated powder diffraction line list, Cu Ka. Input: the PBE geometry in Alexandria.

Structural model:
```
Sb3Rh5
1.0
9.643 0.000 0.000
0.000 8.284 0.000
0.000 0.000 6.853
Sb Rh
12 20
Cartesian
0.265 2.071 0.514
1.770 4.289 3.110
1.770 8.138 3.110
3.051 0.147 6.537
3.051 3.996 6.537
4.556 6.213 3.940
5.087 2.071 2.912
6.591 4.289 0.316
6.591 8.138 0.316
7.873 0.147 3.742
7.873 3.996 3.742
9.377 6.213 6.339
0.106 2.071 3.237
0.602 0.320 5.456
0.602 3.822 5.456
1.778 6.213 1.246
2.245 6.213 5.256
2.577 2.071 1.829
3.043 2.071 4.672
4.220 4.462 2.029
4.220 7.965 2.029
4.715 6.213 6.664
4.927 2.071 0.189
5.423 0.320 4.823
5.423 3.822 4.823
6.599 6.213 2.181
7.066 6.213 5.024
7.398 2.071 1.597
7.865 2.071 5.607
9.041 4.462 1.397
9.041 7.965 1.397
9.537 6.213 3.615
```

Top 12 peaks for 2θ = 10–80°, by angle:
2θ (°)	d/Å	Rel. int.
30.7	2.910	9
31.3	2.856	11
35.0	2.561	11
35.2	2.546	18
37.8	2.381	25
38.9	2.316	100
39.6	2.274	10
40.6	2.223	13
43.7	2.071	29
45.3	2.003	14
45.5	1.993	10
46.2	1.964	10

---

[4]
# ScSbRh3
Calculated powder diffraction line list, Cu Ka. Input: the PBE geometry in Alexandria.

Structural model:
```
ScSbRh3
1.0
-2.747 3.766 4.342
2.747 -3.766 4.342
2.747 3.766 -4.342
Sc Sb Rh
2 2 6
Cartesian
0.000 1.883 0.217
2.747 1.883 4.125
2.747 0.000 0.000
0.000 0.000 4.342
2.747 1.883 -1.858
1.374 4.233 -2.171
1.374 0.467 2.171
-1.374 3.299 2.171
1.374 3.299 2.171
0.000 1.883 6.200
```

Top 12 peaks for 2θ = 10–80°, by angle:
2θ (°)	d/Å	Rel. int.
19.1	4.643	46
20.5	4.342	42
30.6	2.925	59
36.3	2.474	58
37.3	2.412	73
38.8	2.322	60
41.6	2.171	59
42.7	2.118	60
45.9	1.976	100
47.2	1.926	29
48.0	1.897	36
48.4	1.882	27

---

[5]
# Sb4RhSe
Calculated powder diffraction line list, Cu Ka. Input: the PBE geometry in Alexandria.

Structural model:
```
Sb4RhSe
1.0
0.000 4.286 4.286
4.286 0.000 4.286
4.286 4.286 0.000
Sb Rh Se
4 1 1
Cartesian
1.070 1.070 1.070
3.216 3.216 1.070
3.216 1.070 3.216
1.070 3.216 3.216
4.286 4.286 4.286
6.429 6.429 6.429
```

Top 12 peaks for 2θ = 10–80°, by angle:
2θ (°)	d/Å	Rel. int.
17.9	4.949	15
29.5	3.031	19
34.7	2.585	100
36.3	2.475	50
42.2	2.143	9
46.2	1.967	4
52.3	1.750	7
55.7	1.650	33
61.2	1.515	30
69.3	1.355	3
72.3	1.307	11
73.2	1.292	19

---

[6]
# Si2SbRh
Calculated powder diffraction line list, Cu Ka. Input: the PBE geometry in Alexandria.

Structural model:
```
Si2SbRh
1.0
4.184 0.000 0.000
0.000 4.187 0.000
-0.635 0.000 4.288
Si Sb Rh
2 1 1
Cartesian
0.380 0.000 1.115
3.168 0.000 3.172
2.092 2.094 0.000
-0.318 2.094 2.144
```

Top 12 peaks for 2θ = 10–80°, by angle:
2θ (°)	d/Å	Rel. int.
21.2	4.187	71
27.7	3.223	46
32.2	2.781	66
35.1	2.554	100
38.9	2.317	36
43.2	2.094	32
43.7	2.069	19
47.7	1.908	47
49.1	1.855	29
52.1	1.756	16
54.9	1.673	28
61.7	1.504	14